For Li7Co5O12, a GGA+U-relaxed structure gives the computed powder XRD pattern in this record (a wavelength of 1.5418 Å).
Intensities are scaled so that the largest is 100.

The 6 most intense peaks (2θ = 5–70°), by angle:
- 2θ 7.88, I = 21
- 2θ 18.81, I = 100
- 2θ 36.88, I = 24
- 2θ 44.57, I = 52
- 2θ 45.22, I = 25
- 2θ 65.67, I = 13

Structural model:
```
24
Lattice="6.2035 -1.4291 0.0000 6.2035 1.4291 0.0000 -2.8299 0.0000 11.2198" Properties=species:S:1:pos:R:3 pbc="T T T"
Li 0.0000 0.0000 0.0000
Li -0.6746 0.0000 2.7549
Li 2.5017 0.0000 6.5251
Li 4.0098 0.0000 0.9358
Li 5.5673 0.0000 10.2839
Li 7.0754 0.0000 4.6946
Li 10.2517 0.0000 8.4648
Co -1.4150 0.0000 5.6099
Co 3.2032 0.0000 3.7378
Co 1.8002 0.0000 9.3847
Co 7.7769 0.0000 1.8351
Co 6.3739 0.0000 7.4819
O 0.4333 0.0000 6.1893
O 1.9516 0.0000 0.6517
O -0.0599 0.0000 8.7600
O 1.3753 0.0000 3.1501
O 3.5600 0.0000 9.7454
O 5.0388 0.0000 4.3279
O 4.5383 0.0000 6.8918
O 6.0171 0.0000 1.4744
O 8.2018 0.0000 8.0697
O 9.6370 0.0000 2.4598
O 7.6255 0.0000 10.5680
O 9.1438 0.0000 5.0305
```